This entry pairs a crystal structure of ReW28 with its theoretical PXRD pattern. Radiation: Cu Kα X-rays. Structure: DFT lattice parameters and positions (PBE).
Peak positions follow from Bragg's law for the DFT cell and can differ from measured ones.

The 12 most intense peaks (15 to 90 degrees two-theta), by intensity:
| 2θ/deg | d (Å) | I_rel |
| --- | --- | --- |
| 38.73 | 2.325 | 100 |
| 43.01 | 2.103 | 31 |
| 70.11 | 1.342 | 25 |
| 46.98 | 1.934 | 17 |
| 67.10 | 1.395 | 12 |
| 45.03 | 2.013 | 11 |
| 36.44 | 2.466 | 10 |
| 83.09 | 1.162 | 8 |
| 84.50 | 1.147 | 6 |
| 71.59 | 1.318 | 6 |
| 75.97 | 1.253 | 6 |
| 65.58 | 1.424 | 5 |

Crystal structure
```
ReW28
1.0
-4.931 4.931 4.931
4.931 -4.931 4.931
4.931 4.931 -4.931
Re W
1 28
direct
0.000 0.000 0.000
0.000 0.000 0.641
0.000 0.191 0.380
0.000 0.380 0.191
0.000 0.408 0.687
0.000 0.641 0.000
0.000 0.687 0.408
0.189 0.809 0.809
0.191 0.000 0.380
0.191 0.380 0.000
0.279 0.592 0.592
0.313 0.313 0.721
0.313 0.721 0.313
0.359 0.359 0.359
0.380 0.000 0.191
0.380 0.191 0.000
0.408 0.000 0.687
0.408 0.687 0.000
0.592 0.279 0.592
0.592 0.592 0.279
0.620 0.620 0.811
0.620 0.811 0.620
0.641 0.000 0.000
0.687 0.000 0.408
0.687 0.408 0.000
0.721 0.313 0.313
0.809 0.189 0.809
0.809 0.809 0.189
0.811 0.620 0.620
```



This entry pairs a crystal structure of Re4W11 with its theoretical PXRD pattern. Radiation: Cu Kα X-rays. Structure: DFT lattice parameters and positions (PBE).
Peak positions follow from Bragg's law for the DFT cell and can differ from measured ones.

The 12 most intense peaks (15 to 90 degrees two-theta), by intensity:
| 2θ/deg | d (Å) | I_rel |
| --- | --- | --- |
| 42.23 | 2.140 | 100 |
| 38.19 | 2.356 | 86 |
| 40.98 | 2.202 | 66 |
| 43.30 | 2.090 | 44 |
| 39.34 | 2.290 | 40 |
| 39.87 | 2.261 | 35 |
| 67.90 | 1.380 | 25 |
| 35.13 | 2.555 | 22 |
| 67.06 | 1.396 | 20 |
| 68.65 | 1.367 | 19 |
| 86.70 | 1.123 | 17 |
| 70.57 | 1.335 | 16 |

Crystal structure
```
Re4W11
1.0
9.716 0.000 0.000
0.000 9.716 0.000
0.000 0.000 5.110
Re W
8 22
direct
0.035 0.364 0.000
0.136 0.535 0.500
0.364 0.035 0.000
0.465 0.864 0.500
0.535 0.136 0.500
0.636 0.965 0.000
0.864 0.465 0.500
0.965 0.636 0.000
0.000 0.000 0.500
0.063 0.264 0.500
0.103 0.103 0.000
0.185 0.815 0.248
0.185 0.815 0.752
0.236 0.563 0.000
0.264 0.063 0.500
0.315 0.315 0.252
0.315 0.315 0.748
0.397 0.603 0.500
0.437 0.764 0.000
0.500 0.500 0.000
0.563 0.236 0.000
0.603 0.397 0.500
0.685 0.685 0.252
0.685 0.685 0.748
0.736 0.937 0.500
0.764 0.437 0.000
0.815 0.185 0.248
0.815 0.185 0.752
0.897 0.897 0.000
0.937 0.736 0.500
```



This entry pairs a crystal structure of Re4W25 with its theoretical PXRD pattern. Radiation: Cu Kα X-rays. Structure: DFT lattice parameters and positions (PBE).
Peak positions follow from Bragg's law for the DFT cell and can differ from measured ones.

The 12 most intense peaks (15 to 90 degrees two-theta), by intensity:
| 2θ/deg | d (Å) | I_rel |
| --- | --- | --- |
| 38.84 | 2.318 | 100 |
| 43.14 | 2.097 | 32 |
| 70.33 | 1.339 | 24 |
| 47.11 | 1.929 | 17 |
| 67.31 | 1.391 | 12 |
| 45.16 | 2.008 | 11 |
| 36.54 | 2.459 | 10 |
| 83.37 | 1.159 | 8 |
| 84.79 | 1.143 | 7 |
| 76.22 | 1.249 | 6 |
| 71.82 | 1.314 | 6 |
| 65.78 | 1.420 | 5 |

Crystal structure
```
Re4W25
1.0
-4.918 4.918 4.918
4.918 -4.918 4.918
4.918 4.918 -4.918
Re W
4 25
direct
0.000 0.000 0.639
0.000 0.639 0.000
0.361 0.361 0.361
0.639 0.000 0.000
0.000 0.000 0.000
0.000 0.191 0.379
0.000 0.379 0.191
0.000 0.411 0.689
0.000 0.689 0.411
0.188 0.809 0.809
0.191 0.000 0.379
0.191 0.379 0.000
0.278 0.589 0.589
0.311 0.311 0.722
0.311 0.722 0.311
0.379 0.000 0.191
0.379 0.191 0.000
0.411 0.000 0.689
0.411 0.689 0.000
0.589 0.278 0.589
0.589 0.589 0.278
0.621 0.621 0.812
0.621 0.812 0.621
0.689 0.000 0.411
0.689 0.411 0.000
0.722 0.311 0.311
0.809 0.188 0.809
0.809 0.809 0.188
0.812 0.621 0.621
```



This entry pairs a crystal structure of Re5W8 with its theoretical PXRD pattern. Radiation: Cu Kα X-rays. Structure: DFT lattice parameters and positions (PBE).
Peak positions follow from Bragg's law for the DFT cell and can differ from measured ones.

The 12 most intense peaks (15 to 90 degrees two-theta), by intensity:
| 2θ/deg | d (Å) | I_rel |
| --- | --- | --- |
| 40.20 | 2.243 | 100 |
| 41.24 | 2.189 | 59 |
| 43.88 | 2.063 | 52 |
| 34.94 | 2.568 | 46 |
| 40.70 | 2.217 | 45 |
| 38.32 | 2.349 | 42 |
| 73.80 | 1.284 | 36 |
| 66.96 | 1.398 | 29 |
| 66.22 | 1.411 | 23 |
| 39.07 | 2.305 | 23 |
| 71.89 | 1.313 | 21 |
| 46.88 | 1.938 | 21 |

Crystal structure
```
Re5W8
1.0
2.568 1.483 9.221
-2.568 1.483 9.221
0.000 -2.965 9.221
Re W
5 8
direct
0.000 0.000 0.000
0.167 0.167 0.167
0.350 0.350 0.350
0.650 0.650 0.650
0.833 0.833 0.833
0.090 0.090 0.586
0.090 0.586 0.090
0.414 0.910 0.910
0.455 0.455 0.455
0.545 0.545 0.545
0.586 0.090 0.090
0.910 0.414 0.910
0.910 0.910 0.414
```



This entry pairs a crystal structure of ZnReW with its theoretical PXRD pattern. Radiation: Cu Kα X-rays. Structure: DFT lattice parameters and positions (PBE).
Peak positions follow from Bragg's law for the DFT cell and can differ from measured ones.

The 10 most intense peaks (15 to 90 degrees two-theta), by intensity:
| 2θ/deg | d (Å) | I_rel |
| --- | --- | --- |
| 42.62 | 2.121 | 100 |
| 25.72 | 3.464 | 60 |
| 78.02 | 1.225 | 34 |
| 50.45 | 1.809 | 30 |
| 61.85 | 1.500 | 17 |
| 68.12 | 1.377 | 12 |
| 83.77 | 1.155 | 10 |
| 29.78 | 3.000 | 3 |
| 70.14 | 1.342 | 1 |
| 52.86 | 1.732 | 1 |

Crystal structure
```
ZnReW
1.0
0.000 3.000 3.000
3.000 0.000 3.000
3.000 3.000 0.000
Zn Re W
1 1 1
direct
0.000 0.000 0.000
0.750 0.750 0.750
0.500 0.500 0.500
```



This entry pairs a crystal structure of ZrRe with its theoretical PXRD pattern. Radiation: Cu Kα X-rays. Structure: DFT lattice parameters and positions (PBE).
Peak positions follow from Bragg's law for the DFT cell and can differ from measured ones.

The 12 most intense peaks (15 to 90 degrees two-theta), by intensity:
| 2θ/deg | d (Å) | I_rel |
| --- | --- | --- |
| 38.91 | 2.314 | 100 |
| 70.54 | 1.335 | 28 |
| 38.95 | 2.312 | 20 |
| 23.54 | 3.779 | 15 |
| 70.39 | 1.338 | 14 |
| 56.18 | 1.637 | 14 |
| 83.61 | 1.157 | 11 |
| 45.98 | 1.974 | 7 |
| 56.29 | 1.634 | 7 |
| 61.81 | 1.501 | 3 |
| 83.36 | 1.159 | 2 |
| 75.42 | 1.260 | 2 |

Crystal structure
```
ZrRe
1.0
-2.312 2.319 3.268
2.312 -2.319 3.268
2.312 2.319 -3.268
Zr Re
2 2
direct
0.375 0.125 0.250
0.625 0.875 0.750
0.124 0.374 0.750
0.876 0.626 0.250
```